Simulated powder diffractogram of AcTm4Se5 for λ = 1.5418 Å (Cu Kα), from the PBE geometry in Alexandria.

Principal peaks in the range 15° ≤ 2θ ≤ 90°, sorted by position:
- 26.29°, intensity 23
- 26.74°, intensity 21
- 30.47°, intensity 53
- 30.83°, intensity 100
- 43.89°, intensity 76
- 44.73°, intensity 19
- 55.08°, intensity 21
- 72.14°, intensity 24

Lattice parameters (Å, degrees): 4.052 5.868 20.767 90.00 90.00 90.00
Space group Immm (No. 71)
One atom of each set of equivalent atoms:
Ac: 0.000 0.000 0.000
Tm: 0.000 0.000 0.207
Tm: 0.000 0.000 0.401
Se: 0.000 0.500 0.000
Se: 0.000 0.500 0.197
Se: 0.000 0.500 0.387